Entry 1:
For Tm2Th2Mg, DFT lattice parameters and positions (PBE) gives the calculated powder diffraction line list in this record (Cu Kα).
Peak positions follow from Bragg's law for the DFT cell and can differ from measured ones.

Structural model:
```
Tm2Th2Mg
1.0
-1.796 1.796 11.470
1.796 -1.796 11.470
1.796 1.796 -11.470
Tm Th Mg
2 2 1
direct
0.091 0.091 0.000
0.909 0.909 0.000
0.304 0.304 0.000
0.696 0.696 0.000
0.500 0.500 0.000
```

Peak list (10 most intense, 10 to 90 degrees two-theta, in order of rising 2θ)
| d [Å] | Position (°2θ) | I/Imax |
| --- | --- | --- |
| 3.251 | 27.43 | 21 |
| 2.828 | 31.64 | 100 |
| 2.540 | 35.34 | 39 |
| 2.294 | 39.28 | 12 |
| 1.901 | 47.84 | 9 |
| 1.796 | 50.84 | 14 |
| 1.702 | 53.85 | 20 |
| 1.516 | 61.12 | 31 |
| 1.414 | 66.07 | 11 |
| 1.407 | 66.45 | 9 |

***

Entry 2:
For La3AlZn2, DFT lattice parameters and positions (PBE) gives the calculated powder diffraction line list in this record (Cu Kα).
Peak positions follow from Bragg's law for the DFT cell and can differ from measured ones.

Structural model:
```
La3AlZn2
1.0
5.338 0.000 0.000
-2.669 4.623 0.000
0.000 0.000 13.082
La Al Zn
6 2 4
direct
0.000 0.000 0.249
0.000 0.000 0.751
0.333 0.667 0.418
0.333 0.667 0.919
0.667 0.333 0.081
0.667 0.333 0.582
0.333 0.667 0.668
0.667 0.333 0.332
0.000 0.000 0.000
0.000 0.000 0.500
0.333 0.667 0.169
0.667 0.333 0.831
```

Peak list (10 most intense, 10 to 90 degrees two-theta, in order of rising 2θ)
| d [Å] | Position (°2θ) | I/Imax |
| --- | --- | --- |
| 3.775 | 23.57 | 21 |
| 2.669 | 33.57 | 100 |
| 2.180 | 41.43 | 6 |
| 1.888 | 48.21 | 18 |
| 1.688 | 54.34 | 9 |
| 1.541 | 60.03 | 37 |
| 1.335 | 70.56 | 11 |
| 1.258 | 75.56 | 4 |
| 1.194 | 80.45 | 16 |
| 1.138 | 85.26 | 3 |

***

Entry 3:
For NaRe3Ni, DFT lattice parameters and positions (PBE) gives the calculated powder diffraction line list in this record (Cu Kα).
Peak positions follow from Bragg's law for the DFT cell and can differ from measured ones.

Structural model:
```
NaRe3Ni
1.0
4.508 0.000 0.000
0.000 4.508 0.000
0.000 0.000 4.508
Na Re Ni
1 3 1
direct
0.000 0.000 0.000
0.000 0.500 0.500
0.500 0.000 0.500
0.500 0.500 0.000
0.500 0.500 0.500
```

Peak list (10 most intense, 10 to 90 degrees two-theta, in order of rising 2θ)
| d [Å] | Position (°2θ) | I/Imax |
| --- | --- | --- |
| 4.508 | 19.69 | 59 |
| 3.187 | 27.99 | 8 |
| 2.603 | 34.46 | 100 |
| 2.254 | 40.00 | 79 |
| 2.016 | 44.97 | 28 |
| 1.594 | 57.86 | 54 |
| 1.503 | 61.74 | 14 |
| 1.359 | 69.11 | 41 |
| 1.301 | 72.66 | 18 |
| 1.127 | 86.33 | 9 |

***

Entry 4:
For LiAc2AuO6, DFT lattice parameters and positions (PBE) gives the calculated powder diffraction line list in this record (Cu Kα).
Peak positions follow from Bragg's law for the DFT cell and can differ from measured ones.

Structural model:
```
LiAc2AuO6
1.0
5.689 0.000 0.000
0.000 5.689 0.000
0.000 0.000 4.102
Li Ac Au O
1 2 1 6
direct
0.000 0.000 0.000
0.000 0.500 0.500
0.500 0.000 0.500
0.500 0.500 0.000
0.000 0.000 0.500
0.251 0.251 0.000
0.251 0.749 0.000
0.500 0.500 0.500
0.749 0.251 0.000
0.749 0.749 0.000
```

Peak list (10 most intense, 10 to 90 degrees two-theta, in order of rising 2θ)
| d [Å] | Position (°2θ) | I/Imax |
| --- | --- | --- |
| 5.689 | 15.58 | 25 |
| 3.327 | 26.79 | 15 |
| 2.872 | 31.14 | 100 |
| 2.845 | 31.45 | 49 |
| 2.338 | 38.51 | 17 |
| 2.051 | 44.16 | 14 |
| 2.012 | 45.07 | 27 |
| 1.664 | 55.21 | 21 |
| 1.648 | 55.80 | 41 |
| 1.436 | 64.93 | 18 |

***

Entry 5:
For PmEr2CdRh4, DFT lattice parameters and positions (PBE) gives the calculated powder diffraction line list in this record (Cu Kα).
Peak positions follow from Bragg's law for the DFT cell and can differ from measured ones.

Structural model:
```
PmEr2CdRh4
1.0
2.388 1.379 7.800
-2.388 1.379 7.800
0.000 -2.758 7.800
Pm Er Cd Rh
1 2 1 4
direct
0.000 0.000 0.000
0.242 0.242 0.242
0.758 0.758 0.758
0.500 0.500 0.500
0.123 0.123 0.123
0.377 0.377 0.377
0.623 0.623 0.623
0.877 0.877 0.877
```

Peak list (10 most intense, 10 to 90 degrees two-theta, in order of rising 2θ)
| d [Å] | Position (°2θ) | I/Imax |
| --- | --- | --- |
| 3.378 | 26.39 | 3 |
| 3.100 | 28.80 | 1 |
| 2.600 | 34.50 | 1 |
| 2.388 | 37.66 | 100 |
| 1.759 | 51.99 | 1 |
| 1.689 | 54.32 | 17 |
| 1.511 | 61.38 | 1 |
| 1.379 | 67.98 | 33 |
| 1.306 | 72.35 | 1 |
| 1.194 | 80.42 | 10 |

***

Entry 6:
For Zn7Ga12Ag, DFT lattice parameters and positions (PBE) gives the calculated powder diffraction line list in this record (Cu Kα).
Peak positions follow from Bragg's law for the DFT cell and can differ from measured ones.

Structural model:
```
Zn7Ga12Ag
1.0
6.043 3.489 2.829
-6.043 3.489 2.829
0.000 -6.978 2.829
Zn Ga Ag
7 12 1
direct
0.000 0.000 0.000
0.193 0.586 0.586
0.414 0.414 0.807
0.414 0.807 0.414
0.586 0.193 0.586
0.586 0.586 0.193
0.807 0.414 0.414
0.000 0.285 0.715
0.000 0.715 0.285
0.146 0.146 0.407
0.146 0.407 0.146
0.285 0.000 0.715
0.285 0.715 0.000
0.407 0.146 0.146
0.593 0.854 0.854
0.715 0.000 0.285
0.715 0.285 0.000
0.854 0.593 0.854
0.854 0.854 0.593
0.500 0.500 0.500
```

Peak list (10 most intense, 10 to 90 degrees two-theta, in order of rising 2θ)
| d [Å] | Position (°2θ) | I/Imax |
| --- | --- | --- |
| 2.501 | 35.91 | 88 |
| 2.396 | 37.54 | 100 |
| 2.311 | 38.98 | 41 |
| 2.227 | 40.50 | 31 |
| 2.197 | 41.08 | 92 |
| 2.079 | 43.53 | 36 |
| 2.014 | 45.00 | 44 |
| 1.410 | 66.27 | 30 |
| 1.336 | 70.46 | 33 |
| 1.311 | 72.06 | 22 |

***

Entry 7:
For Tb4Sm4Mg, DFT lattice parameters and positions (PBE) gives the calculated powder diffraction line list in this record (Cu Kα).
Peak positions follow from Bragg's law for the DFT cell and can differ from measured ones.

Structural model:
```
Tb4Sm4Mg
1.0
3.171 -8.648 0.000
3.171 8.648 0.000
-1.340 0.000 10.452
Tb Sm Mg
8 8 2
direct
0.151 0.843 0.674
0.157 0.849 0.326
0.227 0.227 0.925
0.272 0.272 0.575
0.728 0.728 0.425
0.773 0.773 0.075
0.843 0.151 0.674
0.849 0.157 0.326
0.178 0.822 0.000
0.322 0.678 0.500
0.340 0.646 0.175
0.354 0.660 0.825
0.646 0.340 0.175
0.660 0.354 0.825
0.678 0.322 0.500
0.822 0.178 0.000
0.245 0.245 0.252
0.755 0.755 0.748
```

Peak list (10 most intense, 10 to 90 degrees two-theta, in order of rising 2θ)
| d [Å] | Position (°2θ) | I/Imax |
| --- | --- | --- |
| 3.146 | 28.37 | 16 |
| 2.956 | 30.23 | 43 |
| 2.883 | 31.02 | 49 |
| 2.858 | 31.30 | 61 |
| 2.816 | 31.78 | 100 |
| 2.588 | 34.66 | 16 |
| 2.544 | 35.28 | 39 |
| 1.880 | 48.43 | 17 |
| 1.651 | 55.67 | 16 |
| 1.634 | 56.31 | 20 |

***

Entry 8:
For Cs2TiTe2, DFT lattice parameters and positions (PBE) gives the calculated powder diffraction line list in this record (Cu Kα).
Peak positions follow from Bragg's law for the DFT cell and can differ from measured ones.

Structural model:
```
Cs2TiTe2
1.0
-4.123 7.746 3.528
4.123 -7.746 3.528
4.123 7.746 -3.528
Cs Ti Te
4 2 4
direct
0.146 0.165 0.311
0.354 0.665 0.018
0.646 0.335 0.982
0.854 0.835 0.689
0.250 0.750 0.500
0.750 0.250 0.500
0.100 0.683 0.782
0.400 0.183 0.583
0.600 0.817 0.417
0.900 0.317 0.218
```

Peak list (10 most intense, 10 to 90 degrees two-theta, in order of rising 2θ)
| d [Å] | Position (°2θ) | I/Imax |
| --- | --- | --- |
| 4.123 | 21.55 | 26 |
| 3.873 | 22.96 | 55 |
| 3.528 | 25.24 | 65 |
| 3.469 | 25.68 | 100 |
| 3.140 | 28.43 | 57 |
| 2.931 | 30.50 | 52 |
| 2.823 | 31.70 | 28 |
| 2.681 | 33.43 | 34 |
| 2.608 | 34.38 | 61 |
| 1.821 | 50.09 | 36 |

***

Entry 9:
For SrAc3C8, DFT lattice parameters and positions (PBE) gives the calculated powder diffraction line list in this record (Cu Kα).
Peak positions follow from Bragg's law for the DFT cell and can differ from measured ones.

Structural model:
```
SrAc3C8
1.0
0.000 5.448 4.199
5.404 0.000 4.199
5.404 5.448 0.000
Sr Ac C
1 3 8
direct
0.000 0.000 0.000
0.246 0.246 0.254
0.501 0.501 0.499
0.746 0.746 0.754
0.067 0.405 0.933
0.127 0.604 0.396
0.401 0.879 0.599
0.405 0.067 0.595
0.599 0.939 0.061
0.604 0.127 0.873
0.879 0.401 0.121
0.939 0.599 0.401
```

Peak list (10 most intense, 10 to 90 degrees two-theta, in order of rising 2θ)
| d [Å] | Position (°2θ) | I/Imax |
| --- | --- | --- |
| 3.837 | 23.18 | 59 |
| 3.321 | 26.85 | 100 |
| 2.724 | 32.88 | 18 |
| 2.702 | 33.15 | 17 |
| 2.105 | 42.97 | 31 |
| 2.098 | 43.12 | 38 |
| 1.918 | 47.39 | 12 |
| 1.842 | 49.49 | 21 |
| 1.657 | 55.46 | 13 |
| 1.415 | 66.00 | 16 |

***

Entry 10:
For CeInSnN, DFT lattice parameters and positions (PBE) gives the calculated powder diffraction line list in this record (Cu Kα).
Peak positions follow from Bragg's law for the DFT cell and can differ from measured ones.

Structural model:
```
CeInSnN
1.0
-1.710 1.710 7.824
1.710 -1.710 7.824
1.710 1.710 -7.824
Ce In Sn N
1 1 1 1
direct
0.000 0.000 0.000
0.331 0.331 0.000
0.661 0.661 0.000
0.505 0.505 0.000
```

Peak list (10 most intense, 10 to 90 degrees two-theta, in order of rising 2θ)
| d [Å] | Position (°2θ) | I/Imax |
| --- | --- | --- |
| 2.860 | 31.27 | 100 |
| 2.608 | 34.39 | 22 |
| 2.419 | 37.17 | 36 |
| 1.773 | 51.54 | 28 |
| 1.710 | 53.59 | 13 |
| 1.550 | 59.66 | 16 |
| 1.468 | 63.37 | 27 |
| 1.430 | 65.24 | 14 |
| 1.148 | 84.35 | 19 |
| 1.097 | 89.29 | 6 |